The following is a calculated powder XRD pattern of Dy5Y3In2. It was derived from the GGA-PBE geometry in Alexandria, using Cu Ka.
Intensities are scaled so that the largest is 100.

Peak list (12 most intense, 10 to 90 degrees two-theta, by intensity)
d [Å]	intensity
2.732	100
2.747	91
2.771	58
2.884	39
1.593	27
1.460	25
2.349	24
3.373	22
1.557	22
1.881	17
1.996	13
1.728	13

```
Dy5Y3In2
1.0
5.872 -7.849 0.000
5.872 7.849 0.000
-0.445 0.000 6.525
Dy Y In
10 6 4
Cartesian
4.128 5.384 2.546
5.538 7.346 4.893
2.856 0.737 0.149
2.634 -0.737 3.412
7.393 5.384 0.717
3.905 -5.384 5.808
8.665 0.737 3.113
8.442 -0.737 6.375
5.761 -7.346 1.631
7.171 -5.384 3.979
4.086 3.795 5.899
6.990 3.795 3.888
5.538 0.576 4.893
5.761 -0.576 1.631
4.309 -3.795 2.637
7.212 -3.795 0.625
4.317 2.264 2.529
7.204 2.264 0.734
4.094 -2.264 5.791
6.982 -2.264 3.996
```